# 1
This entry pairs a crystal structure of Na3ReN4 with its theoretical X-ray powder pattern. Radiation: Cu Kα (weighted mean of Kα1 and Kα2). Structure: a GGA-PBE-relaxed structure.
Intensities are scaled so that the largest is 100.

```
data_Na3ReN4
_chemical_formula_sum 'Na6 Re2 N8'
_symmetry_space_group_name_H-M 'C 1 2 1'
_symmetry_Int_Tables_number 5
_cell_length_a 9.038
_cell_length_b 6.631
_cell_length_c 5.470
_cell_angle_alpha 90.00
_cell_angle_beta 122.17
_cell_angle_gamma 90.00
loop_
_symmetry_equiv_pos_as_xyz
'x,y,z'
'-x,y,-z'
'x+1/2,y+1/2,z'
'-x+1/2,y+1/2,-z'
loop_
_atom_site_label
_atom_site_type_symbol
_atom_site_fract_x
_atom_site_fract_y
_atom_site_fract_z
Na1 Na 0.000 0.000 0.000
Na2 Na 0.223 0.462 0.213
Re1 Re 0.000 0.494 0.500
N1 N 0.014 0.190 0.401
N2 N 0.183 0.629 0.776
```

Main lines, low angle first (2θ = 10–80°):
d = 5.011 Å, intensity 100, hkl 1 1 0; d = 4.630 Å, intensity 42, hkl 0 0 1; d = 4.269 Å, intensity 51, hkl 2 0 -1; d = 4.210 Å, intensity 69, hkl 1 1 -1; d = 3.315 Å, intensity 35, hkl 0 2 0; d = 2.929 Å, intensity 53, hkl 1 1 1; d = 2.742 Å, intensity 50, hkl 3 1 -1; d = 2.725 Å, intensity 30, hkl 2 0 -2

=====

# 2
This entry pairs a crystal structure of Na7ReN3 with its theoretical X-ray powder pattern. Radiation: Cu Kα (weighted mean of Kα1 and Kα2). Structure: a GGA-PBE-relaxed structure.
Intensities are scaled so that the largest is 100.

```
data_Na7ReN3
_chemical_formula_sum 'Na14 Re2 N6'
_symmetry_space_group_name_H-M 'C 1 m 1'
_symmetry_Int_Tables_number 8
_cell_length_a 12.124
_cell_length_b 6.915
_cell_length_c 8.372
_cell_angle_alpha 90.00
_cell_angle_beta 133.65
_cell_angle_gamma 90.00
loop_
_symmetry_equiv_pos_as_xyz
'x,y,z'
'x,-y,z'
'x+1/2,y+1/2,z'
'x+1/2,-y+1/2,z'
loop_
_atom_site_label
_atom_site_type_symbol
_atom_site_fract_x
_atom_site_fract_y
_atom_site_fract_z
Na1 Na 0.000 0.000 0.000
Na2 Na 0.033 0.500 0.062
Na3 Na 0.162 0.252 0.475
Na4 Na 0.233 0.249 0.954
Na5 Na 0.398 0.500 0.440
Re1 Re 0.338 0.000 0.333
N1 N 0.230 0.222 0.257
N2 N 0.461 0.000 0.282
```

Main lines, low angle first (2θ = 10–80°):
d = 6.057 Å, intensity 100, hkl 0 0 1; d = 5.431 Å, intensity 55, hkl 1 1 0; d = 5.331 Å, intensity 55, hkl 1 1 -1; d = 3.387 Å, intensity 38, hkl 1 1 1; d = 3.315 Å, intensity 29, hkl 1 1 -2; d = 3.003 Å, intensity 32, hkl 2 2 -1; d = 2.715 Å, intensity 23, hkl 2 2 0; d = 2.663 Å, intensity 51, hkl 2 2 -2

=====

# 3
This entry pairs a crystal structure of Na3Re2N5 with its theoretical X-ray powder pattern. Radiation: Cu Kα (weighted mean of Kα1 and Kα2). Structure: a GGA-PBE-relaxed structure.
Intensities are scaled so that the largest is 100.

```
data_Na3Re2N5
_chemical_formula_sum 'Na24 Re16 N40'
_symmetry_space_group_name_H-M 'I 41'
_symmetry_Int_Tables_number 80
_cell_length_a 12.607
_cell_length_b 12.607
_cell_length_c 8.671
_cell_angle_alpha 90.00
_cell_angle_beta 90.00
_cell_angle_gamma 90.00
loop_
_symmetry_equiv_pos_as_xyz
'x,y,z'
'-y,x+1/2,z+1/4'
'-x+1/2,-y+1/2,z+1/2'
'y+1/2,-x,z+3/4'
'x+1/2,y+1/2,z+1/2'
'-y+1/2,x,z+3/4'
'-x,-y,z'
'y,-x+1/2,z+1/4'
loop_
_atom_site_label
_atom_site_type_symbol
_atom_site_fract_x
_atom_site_fract_y
_atom_site_fract_z
Na1 Na 0.000 0.000 0.000
Na2 Na 0.000 0.000 0.424
Na3 Na 0.073 0.809 0.757
Na4 Na 0.098 0.278 0.397
Re1 Re 0.087 0.795 0.154
Re2 Re 0.112 0.331 0.977
N1 N 0.022 0.129 0.213
N2 N 0.038 0.699 0.003
N3 N 0.070 0.137 0.589
N4 N 0.124 0.694 0.317
N5 N 0.152 0.190 0.905
```

Main lines, low angle first (2θ = 10–80°):
d = 7.144 Å, intensity 38, hkl 1 0 1; d = 4.727 Å, intensity 100, hkl 2 1 1; d = 3.243 Å, intensity 11, hkl 3 2 1; d = 2.935 Å, intensity 71, hkl 1 3 2; d = 2.819 Å, intensity 34, hkl 4 2 0; d = 2.572 Å, intensity 18, hkl 2 1 3; d = 2.421 Å, intensity 24, hkl 5 0 1; d = 1.649 Å, intensity 18, hkl 7 1 2